Computed powder diffraction line list of YRhO3 for λ = 1.5418 Å (Cu Kα), from a crystal structure in the Materials Project, relaxed with GGA-PBE.
Kinematic intensities with the Lorentz-polarization factor, no thermal factor.

Atomic structure:
```
20
Lattice="5.8056 0.0000 0.0000 0.0000 7.6775 0.0000 0.0000 0.0000 5.2999" Properties=species:S:1:pos:R:3 pbc="T T T"
Y 0.4843 1.9194 0.1605
Y 2.4186 5.7581 2.8104
Y 3.3871 1.9194 2.4895
Y 5.3214 5.7581 5.1394
Rh 0.0000 0.0000 2.6500
Rh 0.0000 3.8388 2.6500
Rh 2.9028 0.0000 0.0000
Rh 2.9028 3.8388 0.0000
O 0.3088 5.7581 1.9353
O 1.1107 4.3283 4.3520
O 1.1107 7.1880 4.3520
O 1.7921 0.4895 1.7021
O 1.7921 3.3492 1.7021
O 2.5940 1.9194 4.5853
O 3.2116 5.7581 0.7146
O 4.0135 4.3283 3.5979
O 4.0135 7.1880 3.5979
O 4.6950 0.4895 0.9479
O 4.6950 3.3492 0.9479
O 5.4968 1.9194 3.3646
```

Main lines, low angle first (15° ≤ 2θ ≤ 90°):
hkl 1 1 1, 2θ = 25.54°, d 3.487, I 124
hkl 2 0 0, 2θ = 30.80°, d 2.903, I 200
hkl 1 2 1, 2θ = 32.67°, d 2.741, I 1000
hkl 0 0 2, 2θ = 33.83°, d 2.650, I 223
hkl 2 0 2, 2θ = 46.40°, d 1.957, I 167
hkl 0 4 0, 2θ = 47.36°, d 1.919, I 182
hkl 0 4 2, 2θ = 59.46°, d 1.554, I 132
hkl 1 2 3, 2θ = 59.79°, d 1.547, I 213


Computed powder diffraction line list of RbHgO3 for λ = 1.5418 Å (Cu Kα), from a crystal structure in the Materials Project, relaxed with GGA-PBE.
Kinematic intensities with the Lorentz-polarization factor, no thermal factor.

Atomic structure:
```
5
Lattice="4.3787 0.0000 0.0000 0.0000 4.3787 0.0000 0.0000 0.0000 4.3787" Properties=species:S:1:pos:R:3 pbc="T T T"
Rb 0.0000 0.0000 0.0000
Hg 2.1893 2.1893 2.1893
O 0.0000 2.1893 2.1893
O 2.1893 0.0000 2.1893
O 2.1893 2.1893 0.0000
```

Main lines, low angle first (15° ≤ 2θ ≤ 90°):
hkl 1 0 0, 2θ = 20.28°, d 4.379, I 269
hkl 1 1 0, 2θ = 28.84°, d 3.096, I 1000
hkl 2 0 0, 2θ = 41.23°, d 2.189, I 296
hkl 2 1 0, 2θ = 46.37°, d 1.958, I 131
hkl 2 1 1, 2θ = 51.10°, d 1.788, I 423
hkl 2 2 0, 2θ = 59.73°, d 1.548, I 191
hkl 3 1 0, 2θ = 67.66°, d 1.385, I 187
hkl 3 2 1, 2θ = 82.41°, d 1.170, I 225